Computed X-ray diffraction stick pattern
Compound: Ni3PtF
Radiation: Cu Kα (weighted mean of Kα1 and Kα2)
Structure: a PBE+U-relaxed structure

Crystal structure
abc: 4.0230 4.0230 4.0230
angles: 90.00 90.00 90.00
Space group Pm-3m (No. 221)
Symmetry-distinct sites (fractional):
Ni1 0.0000 0.0000 0.5000 [3 per cell]
Pt1 0.5000 0.5000 0.5000 [1 per cell]
F1 0.0000 0.0000 0.0000 [1 per cell]

Main lines, by angle (2θ = 5–70°):
2θ/deg	I/Imax
22.10	25
31.45	41
38.77	100
45.07	59
50.74	13
55.99	17
65.64	37